# Cs6K9Ag
Theoretical powder X-ray diffraction pattern, Cu Kα (λ = 1.5418 Å). Input: DFT lattice parameters and positions (PBE).
Peak positions follow from Bragg's law for the DFT cell and can differ from measured ones.

The 10 most intense peaks (2θ from 10° to 90°), sorted by position:
2theta  intensity  hkl
18.35  24.1  1 2 1
21.81  100.0  2 1 3
24.94  26.6  0 0 6
25.38  52.3  1 3 0
35.88  45.4  1 3 6
36.20  18.7  4 2 0
42.11  17.1  2 1 9
42.66  28.4  5 0 3
44.46  19.9  4 2 6
56.70  11.7  5 0 9

Crystal structure
```
data_Cs6K9Ag
_chemical_formula_sum 'Cs12 K18 Ag2'
_symmetry_space_group_name_H-M 'I 4/m'
_symmetry_Int_Tables_number 87
_symmetry_space_group_name_Hall '-I 4'
_cell_length_a 11.0980
_cell_length_b 11.0980
_cell_length_c 21.4238
_cell_angle_alpha 90.00
_cell_angle_beta 90.00
_cell_angle_gamma 90.00
loop_
_atom_site_label
_atom_site_fract_x
_atom_site_fract_y
_atom_site_fract_z
_atom_site_occupancy
Cs1 0.0000 0.0000 0.1711 1
Cs2 0.1193 0.3088 0.0000 1
K1 0.0000 0.0000 0.5000 1
K2 0.0871 0.2983 0.3265 1
Ag1 0.0000 0.0000 0.0000 1
```


# Cs9K6Ag
Theoretical powder X-ray diffraction pattern, Cu Kα (λ = 1.5418 Å). Input: DFT lattice parameters and positions (PBE).
Peak positions follow from Bragg's law for the DFT cell and can differ from measured ones.

The 10 most intense peaks (2θ from 10° to 90°), sorted by position:
2theta  intensity  hkl
13.60  12.7  1 1 2
17.28  26.1  2 1 1
21.14  100.0  2 1 3
23.77  49.2  1 3 0
25.77  19.3  0 0 6
33.86  20.6  4 2 0
35.35  32.0  1 3 6
40.27  30.6  5 0 3
42.80  12.4  2 1 9
43.04  17.3  4 2 6

Crystal structure
```
data_Cs9K6Ag
_chemical_formula_sum 'Cs18 K12 Ag2'
_symmetry_space_group_name_H-M 'I 4/m'
_symmetry_Int_Tables_number 87
_symmetry_space_group_name_Hall '-I 4'
_cell_length_a 11.8369
_cell_length_b 11.8369
_cell_length_c 20.7393
_cell_angle_alpha 90.00
_cell_angle_beta 90.00
_cell_angle_gamma 90.00
loop_
_atom_site_label
_atom_site_fract_x
_atom_site_fract_y
_atom_site_fract_z
_atom_site_occupancy
Cs1 0.0000 0.0000 0.0000 1
Cs2 0.1135 0.3074 0.1580 1
K1 0.0000 0.0000 0.3332 1
K2 0.0896 0.2789 0.5000 1
Ag1 0.0000 0.0000 0.5000 1
```


# CsK3Ag3
Theoretical powder X-ray diffraction pattern, Cu Kα (λ = 1.5418 Å). Input: DFT lattice parameters and positions (PBE).
Peak positions follow from Bragg's law for the DFT cell and can differ from measured ones.

The 10 most intense peaks (2θ from 10° to 90°), sorted by position:
2theta  intensity  hkl
25.09  23.6  1 0 7
27.48  48.4  0 2 4
28.28  42.5  0 0 9
29.08  71.4  2 0 5
32.62  68.5  2 1 1
33.05  100.0  0 2 7
34.90  25.8  2 1 4
37.98  25.3  0 0 12
41.75  28.7  3 0 6
47.19  29.9  3 0 9

Crystal structure
```
data_CsK3Ag3
_chemical_formula_sum 'Cs6 K18 Ag18'
_symmetry_space_group_name_H-M 'R -3 m'
_symmetry_Int_Tables_number 166
_symmetry_space_group_name_Hall '-R 3 2"'
_cell_length_a 8.4246
_cell_length_b 8.4246
_cell_length_c 28.4301
_cell_angle_alpha 90.00
_cell_angle_beta 90.00
_cell_angle_gamma 120.00
loop_
_atom_site_label
_atom_site_fract_x
_atom_site_fract_y
_atom_site_fract_z
_atom_site_occupancy
Cs1 0.0000 0.0000 0.0748 1
K1 0.9997 0.4999 0.0961 1
Ag1 0.0999 0.5500 0.3334 1
```


# Cs5K4Ag2
Theoretical powder X-ray diffraction pattern, Cu Kα (λ = 1.5418 Å). Input: DFT lattice parameters and positions (PBE).
Peak positions follow from Bragg's law for the DFT cell and can differ from measured ones.

The 10 most intense peaks (2θ from 10° to 90°), sorted by position:
2theta  intensity  hkl
10.54  34.0  2 0 1
14.20  40.9  2 0 -2
19.14  46.6  6 0 -1
20.07  48.6  3 1 0
20.59  38.5  3 1 -1
21.17  42.9  4 0 2
23.30  100.0  1 1 2
25.85  53.3  3 1 2
30.88  39.1  7 1 1
34.67  59.1  5 1 -4

Crystal structure
```
data_Cs5K4Ag2
_chemical_formula_sum 'Cs10 K8 Ag4'
_symmetry_space_group_name_H-M 'C 1 2/m 1'
_symmetry_Int_Tables_number 12
_symmetry_space_group_name_Hall '-C 2y'
_cell_length_a 28.1563
_cell_length_b 5.0510
_cell_length_c 12.8123
_cell_angle_alpha 90.00
_cell_angle_beta 102.45
_cell_angle_gamma 90.00
loop_
_atom_site_label
_atom_site_fract_x
_atom_site_fract_y
_atom_site_fract_z
_atom_site_occupancy
Cs1 0.0000 0.0000 0.0000 1
Cs2 0.1199 0.5000 0.7679 1
Cs3 0.1950 0.5000 0.1574 1
K1 0.0479 0.5000 0.3676 1
K2 0.1828 0.0000 0.4896 1
Ag1 0.2311 0.5000 0.6640 1
```


# Cs12KAg6
Theoretical powder X-ray diffraction pattern, Cu Kα (λ = 1.5418 Å). Input: DFT lattice parameters and positions (PBE).
Peak positions follow from Bragg's law for the DFT cell and can differ from measured ones.

The 10 most intense peaks (2θ from 10° to 90°), sorted by position:
2theta  intensity  hkl
20.42  28.2  3 1 0
22.39  26.1  2 2 2
24.21  100.0  3 2 1
33.21  48.5  5 1 0
38.15  31.1  5 0 3
39.30  19.3  6 0 0
40.42  16.9  5 3 2
55.93  20.9  6 3 5
56.79  16.2  6 6 0
57.65  18.8  8 1 3

Crystal structure
```
data_Cs12KAg6
_chemical_formula_sum 'Cs24 K2 Ag12'
_symmetry_space_group_name_H-M 'I m -3'
_symmetry_Int_Tables_number 204
_symmetry_space_group_name_Hall '-I 2 2 3'
_cell_length_a 13.7553
_cell_length_b 13.7553
_cell_length_c 13.7553
_cell_angle_alpha 90.00
_cell_angle_beta 90.00
_cell_angle_gamma 90.00
loop_
_atom_site_label
_atom_site_fract_x
_atom_site_fract_y
_atom_site_fract_z
_atom_site_occupancy
Cs1 0.0000 0.1824 0.3216 1
K1 0.0000 0.0000 0.0000 1
Ag1 0.0000 0.3954 0.5000 1
```


# Cs2KAgO2
Theoretical powder X-ray diffraction pattern, Cu Kα (λ = 1.5418 Å). Input: DFT lattice parameters and positions (PBE).
Peak positions follow from Bragg's law for the DFT cell and can differ from measured ones.

The 10 most intense peaks (2θ from 10° to 90°), sorted by position:
2theta  intensity  hkl
25.79  29.4  1 1 1
28.76  29.1  2 1 0
28.93  100.0  1 2 1
30.03  28.3  0 4 0
33.56  25.8  1 3 1
35.95  16.2  2 3 0
41.38  21.6  0 0 2
47.24  11.9  3 0 1
52.65  17.4  1 6 1
57.00  12.6  3 4 1

Crystal structure
```
data_Cs2KAgO2
_chemical_formula_sum 'Cs4 K2 Ag2 O4'
_symmetry_space_group_name_H-M 'P n n m'
_symmetry_Int_Tables_number 58
_symmetry_space_group_name_Hall '-P 2 2n'
_cell_length_a 6.4318
_cell_length_b 11.9013
_cell_length_c 4.3620
_cell_angle_alpha 90.00
_cell_angle_beta 90.00
_cell_angle_gamma 90.00
loop_
_atom_site_label
_atom_site_fract_x
_atom_site_fract_y
_atom_site_fract_z
_atom_site_occupancy
Cs1 0.1226 0.2427 0.0000 1
K1 0.0000 0.5000 0.5000 1
Ag1 0.0000 0.0000 0.5000 1
O1 0.2427 0.6038 0.0000 1
```


# Cs6KRb2Ag
Theoretical powder X-ray diffraction pattern, Cu Kα (λ = 1.5418 Å). Input: DFT lattice parameters and positions (PBE).
Peak positions follow from Bragg's law for the DFT cell and can differ from measured ones.

The 10 most intense peaks (2θ from 10° to 90°), sorted by position:
2theta  intensity  hkl
18.16  47.5  0 2 2
19.87  100.0  1 2 1
20.14  38.1  2 1 -1
20.92  51.4  1 2 -3
21.26  61.2  2 1 -3
21.92  45.4  2 1 0
22.50  61.9  0 0 4
23.36  53.2  1 3 -1
23.82  35.3  1 3 0
36.43  25.4  3 3 -4

Crystal structure
```
data_Cs6KRb2Ag
_chemical_formula_sum 'Cs12 K2 Rb4 Ag2'
_symmetry_space_group_name_H-M 'P 1 21/c 1'
_symmetry_Int_Tables_number 14
_symmetry_space_group_name_Hall '-P 2ybc'
_cell_length_a 9.6024
_cell_length_b 12.4561
_cell_length_c 17.7019
_cell_angle_alpha 90.00
_cell_angle_beta 116.74
_cell_angle_gamma 90.00
loop_
_atom_site_label
_atom_site_fract_x
_atom_site_fract_y
_atom_site_fract_z
_atom_site_occupancy
Cs1 0.0667 0.0497 0.2267 1
Cs2 0.1319 0.7069 0.0423 1
Cs3 0.3747 0.1436 0.0306 1
K1 0.5000 0.0000 0.5000 1
Rb1 0.3990 0.1112 0.7408 1
Ag1 0.0000 0.0000 0.0000 1
```


# CsK2AgS2
Theoretical powder X-ray diffraction pattern, Cu Kα (λ = 1.5418 Å). Input: DFT lattice parameters and positions (PBE).
Peak positions follow from Bragg's law for the DFT cell and can differ from measured ones.

The 10 most intense peaks (2θ from 10° to 90°), sorted by position:
2theta  intensity  hkl
18.98  45.1  1 0 1
20.38  13.7  0 2 0
22.04  15.1  2 0 0
27.99  100.0  1 2 1
30.20  27.0  2 2 0
31.16  31.7  0 0 2
36.92  23.7  3 0 1
43.95  18.8  2 2 2
53.53  15.2  1 2 3
57.85  12.7  2 4 2

Crystal structure
```
data_CsK2AgS2
_chemical_formula_sum 'Cs2 K4 Ag2 S4'
_symmetry_space_group_name_H-M 'P n n m'
_symmetry_Int_Tables_number 58
_symmetry_space_group_name_Hall '-P 2 2n'
_cell_length_a 8.0647
_cell_length_b 8.7144
_cell_length_c 5.7403
_cell_angle_alpha 90.00
_cell_angle_beta 90.00
_cell_angle_gamma 90.00
loop_
_atom_site_label
_atom_site_fract_x
_atom_site_fract_y
_atom_site_fract_z
_atom_site_occupancy
Cs1 0.0000 0.0000 0.0000 1
K1 0.1223 0.2462 0.5000 1
Ag1 0.0000 0.5000 0.0000 1
S1 0.2449 0.8681 0.5000 1
```


# CsLiAgP
Theoretical powder X-ray diffraction pattern, Cu Kα (λ = 1.5418 Å). Input: DFT lattice parameters and positions (PBE).
Peak positions follow from Bragg's law for the DFT cell and can differ from measured ones.

The 10 most intense peaks (2θ from 10° to 90°), sorted by position:
2theta  intensity  hkl
23.35  100.0  1 0 1
24.66  14.5  0 1 2
27.25  40.1  0 0 6
29.33  20.6  1 0 4
32.43  60.0  0 1 5
39.64  15.7  1 0 7
40.23  44.4  1 1 0
47.03  14.8  0 2 1
49.27  45.0  1 1 6
52.59  14.6  2 0 5

Crystal structure
```
data_CsLiAgP
_chemical_formula_sum 'Cs3 Li3 Ag3 P3'
_symmetry_space_group_name_H-M 'R 3 m'
_symmetry_Int_Tables_number 160
_symmetry_space_group_name_Hall 'R 3 -2"'
_cell_length_a 4.4835
_cell_length_b 4.4835
_cell_length_c 19.6335
_cell_angle_alpha 90.00
_cell_angle_beta 90.00
_cell_angle_gamma 120.00
loop_
_atom_site_label
_atom_site_fract_x
_atom_site_fract_y
_atom_site_fract_z
_atom_site_occupancy
Cs1 0.0000 0.0000 0.0000 1
Li1 0.0000 0.0000 0.5080 1
Ag1 0.0000 0.0000 0.8254 1
P1 0.0000 0.0000 0.1828 1
```


# CsMnAgS2
Theoretical powder X-ray diffraction pattern, Cu Kα (λ = 1.5418 Å). Input: DFT lattice parameters and positions (PBE).
Peak positions follow from Bragg's law for the DFT cell and can differ from measured ones.

The 10 most intense peaks (2θ from 10° to 90°), sorted by position:
2theta  intensity  hkl
21.15  42.6  1 1 1
24.87  52.5  0 4 0
27.59  100.0  1 3 1
28.62  40.8  2 0 0
31.49  78.3  0 2 2
34.55  35.0  2 2 1
41.06  43.5  2 4 1
43.07  23.7  2 2 2
48.15  32.2  0 6 2
50.35  27.3  2 6 1

Crystal structure
```
data_CsMnAgS2
_chemical_formula_sum 'Cs4 Mn4 Ag4 S8'
_symmetry_space_group_name_H-M 'C m m e'
_symmetry_Int_Tables_number 67
_symmetry_space_group_name_Hall '-C 2a 2'
_cell_length_a 6.2383
_cell_length_b 14.3183
_cell_length_c 6.1899
_cell_angle_alpha 90.00
_cell_angle_beta 90.00
_cell_angle_gamma 90.00
loop_
_atom_site_label
_atom_site_fract_x
_atom_site_fract_y
_atom_site_fract_z
_atom_site_occupancy
Cs1 0.0000 0.2500 0.2360 1
Mn1 0.2500 0.0000 0.5000 1
Ag1 0.0000 0.0000 0.0000 1
S1 0.0000 0.1021 0.6949 1
```


# Cs2MnAgSe4
Theoretical powder X-ray diffraction pattern, Cu Kα (λ = 1.5418 Å). Input: DFT lattice parameters and positions (PBE).
Peak positions follow from Bragg's law for the DFT cell and can differ from measured ones.

The 10 most intense peaks (2θ from 10° to 90°), sorted by position:
2theta  intensity  hkl
14.34  28.8  0 0 4
23.64  45.3  1 3 1
24.84  55.8  0 2 6
25.77  92.1  1 3 3
28.92  23.1  0 0 8
29.62  100.0  1 3 5
31.67  27.3  2 2 0
36.55  50.3  2 0 6
43.23  32.9  0 6 6
47.76  38.3  2 6 0

Crystal structure
```
data_Cs2MnAgSe4
_chemical_formula_sum 'Cs16 Mn8 Ag8 Se32'
_symmetry_space_group_name_H-M 'F d d d'
_symmetry_Int_Tables_number 70
_cell_length_a 6.1295
_cell_length_b 14.5808
_cell_length_c 24.7002
_cell_angle_alpha 90.00
_cell_angle_beta 90.00
_cell_angle_gamma 90.00
loop_
_symmetry_equiv_pos_as_xyz
'x,y,z'
'-x,-y,-z'
'-x+1/4,-y+1/4,z'
'x+1/4,y+1/4,-z'
'x,-y+1/4,-z+1/4'
'-x,y+1/4,z+1/4'
'-x+1/4,y,-z+1/4'
'x+1/4,-y,z+1/4'
'x,y+1/2,z+1/2'
'-x,-y+1/2,-z+1/2'
'-x+1/4,-y+3/4,z+1/2'
'x+1/4,y+3/4,-z+1/2'
'x,-y+3/4,-z+3/4'
'-x,y+3/4,z+3/4'
'-x+1/4,y+1/2,-z+3/4'
'x+1/4,-y+1/2,z+3/4'
'x+1/2,y,z+1/2'
'-x+1/2,-y,-z+1/2'
'-x+3/4,-y+1/4,z+1/2'
'x+3/4,y+1/4,-z+1/2'
'x+1/2,-y+1/4,-z+3/4'
'-x+1/2,y+1/4,z+3/4'
'-x+3/4,y,-z+3/4'
'x+3/4,-y,z+3/4'
'x+1/2,y+1/2,z'
'-x+1/2,-y+1/2,-z'
'-x+3/4,-y+3/4,z'
'x+3/4,y+3/4,-z'
'x+1/2,-y+3/4,-z+1/4'
'-x+1/2,y+3/4,z+1/4'
'-x+3/4,y+1/2,-z+1/4'
'x+3/4,-y+1/2,z+1/4'
loop_
_atom_site_label
_atom_site_fract_x
_atom_site_fract_y
_atom_site_fract_z
_atom_site_occupancy
Cs1 0.1250 0.1250 0.3048 1
Mn1 0.1250 0.1250 0.6250 1
Ag1 0.1250 0.1250 0.1250 1
Se1 0.0799 0.2830 0.8197 1
```


# CsMnAg2Se4
Theoretical powder X-ray diffraction pattern, Cu Kα (λ = 1.5418 Å). Input: DFT lattice parameters and positions (PBE).
Peak positions follow from Bragg's law for the DFT cell and can differ from measured ones.

The 10 most intense peaks (2θ from 10° to 90°), sorted by position:
2theta  intensity  hkl
26.10  100.0  1 1 2
30.11  15.4  1 2 1
30.24  14.7  2 1 1
31.11  11.9  0 1 3
36.45  28.0  2 2 0
45.26  21.2  1 3 2
45.49  20.8  3 1 2
46.32  15.5  0 2 4
46.43  15.3  2 0 4
61.74  8.9  1 1 6

Crystal structure
```
data_CsMnAg2Se4
_chemical_formula_sum 'Cs2 Mn2 Ag4 Se8'
_symmetry_space_group_name_H-M 'I 2 2 2'
_symmetry_Int_Tables_number 23
_symmetry_space_group_name_Hall 'I 2 2'
_cell_length_a 6.9467
_cell_length_b 6.9985
_cell_length_c 9.4649
_cell_angle_alpha 90.00
_cell_angle_beta 90.00
_cell_angle_gamma 90.00
loop_
_atom_site_label
_atom_site_fract_x
_atom_site_fract_y
_atom_site_fract_z
_atom_site_occupancy
Cs1 0.0000 0.0000 0.0000 1
Mn1 0.0000 0.0000 0.5000 1
Ag1 0.0000 0.5000 0.2470 1
Se1 0.1805 0.1810 0.3489 1
```